No. 1
# V2O5
Calculated powder X-ray diffraction pattern, Cu Kα (λ = 1.5418 Å). Input: the GGA+U geometry in the Materials Project.
Kinematic intensities with the Lorentz-polarization factor, no thermal factor.

Principal peaks in the range 2θ from 15° to 90°, in order of rising 2θ:
2theta  d [Å]  I_rel
16.1  5.499  36
17.8  4.989  18
21.0  4.228  22
23.4  3.801  22
25.2  3.528  100
26.0  3.431  22
27.0  3.306  62
29.3  3.045  23
38.0  2.366  17
55.3  1.660  22

Structural model:
abc: 7.965 6.611 7.603
angles: 90.00 90.00 90.00
Positions (direct):
V 0.119 0.250 0.124
V 0.169 0.750 0.239
V 0.331 0.250 0.739
V 0.381 0.750 0.624
V 0.619 0.250 0.376
V 0.669 0.750 0.261
V 0.831 0.250 0.761
V 0.881 0.750 0.876
O 0.054 0.750 0.012
O 0.123 0.031 0.252
O 0.123 0.469 0.252
O 0.137 0.250 0.673
O 0.206 0.750 0.485
O 0.294 0.250 0.985
O 0.363 0.750 0.173
O 0.377 0.531 0.752
O 0.377 0.969 0.752
O 0.446 0.250 0.512
O 0.554 0.750 0.488
O 0.623 0.031 0.248
O 0.623 0.469 0.248
O 0.637 0.250 0.827
O 0.706 0.750 0.015
O 0.794 0.250 0.515
O 0.863 0.750 0.327
O 0.877 0.531 0.748
O 0.877 0.969 0.748
O 0.946 0.250 0.988

***

No. 2
# VO2
Calculated powder X-ray diffraction pattern, Cu Kα (λ = 1.5418 Å). Input: the GGA+U geometry in the Materials Project.
Kinematic intensities with the Lorentz-polarization factor, no thermal factor.

Principal peaks in the range 2θ from 15° to 90°, in order of rising 2θ:
2theta  d [Å]  I_rel
25.5  3.500  93
25.7  3.472  66
30.8  2.905  100
35.8  2.506  26
45.7  1.985  21
48.2  1.888  30
48.9  1.863  19
54.8  1.676  23
55.4  1.659  37
56.6  1.627  18

Structural model:
abc: 5.210 9.191 5.400
angles: 90.00 90.00 90.00
Positions (direct):
V 0.141 0.129 0.098
V 0.141 0.371 0.598
V 0.359 0.629 0.098
V 0.359 0.871 0.598
V 0.641 0.129 0.402
V 0.641 0.371 0.902
V 0.859 0.629 0.402
V 0.859 0.871 0.902
O 0.033 0.727 0.119
O 0.033 0.773 0.619
O 0.190 0.506 0.359
O 0.190 0.994 0.859
O 0.310 0.006 0.359
O 0.310 0.494 0.859
O 0.467 0.227 0.119
O 0.467 0.273 0.619
O 0.533 0.727 0.381
O 0.533 0.773 0.881
O 0.690 0.506 0.141
O 0.690 0.994 0.641
O 0.810 0.006 0.141
O 0.810 0.494 0.641
O 0.967 0.227 0.381
O 0.967 0.273 0.881

***

No. 3
# V2O5
Calculated powder X-ray diffraction pattern, Cu Kα (λ = 1.5418 Å). Input: the GGA+U geometry in the Materials Project.
Kinematic intensities with the Lorentz-polarization factor, no thermal factor.

Principal peaks in the range 2θ from 15° to 90°, in order of rising 2θ:
2theta  d [Å]  I_rel
17.2  5.167  100
17.4  5.089  26
19.3  4.607  31
26.1  3.416  24
27.3  3.263  27
27.5  3.238  81
27.7  3.223  30
31.4  2.847  33
31.5  2.836  39
50.4  1.810  30

Structural model:
abc: 10.177 3.619 10.334
angles: 90.00 90.00 90.00
Positions (direct):
V 0.072 0.250 0.102
V 0.125 0.750 0.515
V 0.375 0.250 0.015
V 0.428 0.750 0.602
V 0.572 0.250 0.398
V 0.625 0.750 0.985
V 0.875 0.250 0.485
V 0.928 0.750 0.898
O 0.000 0.250 0.241
O 0.000 0.750 0.759
O 0.064 0.750 0.041
O 0.070 0.250 0.537
O 0.208 0.750 0.383
O 0.245 0.250 0.137
O 0.255 0.750 0.637
O 0.292 0.250 0.883
O 0.430 0.750 0.037
O 0.436 0.250 0.541
O 0.500 0.250 0.259
O 0.500 0.750 0.741
O 0.564 0.750 0.459
O 0.570 0.250 0.963
O 0.708 0.750 0.117
O 0.745 0.250 0.363
O 0.755 0.750 0.863
O 0.792 0.250 0.617
O 0.930 0.750 0.463
O 0.936 0.250 0.959

***

No. 4
# V3O7
Calculated powder X-ray diffraction pattern, Cu Kα (λ = 1.5418 Å). Input: the GGA+U geometry in the Materials Project.
Kinematic intensities with the Lorentz-polarization factor, no thermal factor.

Principal peaks in the range 2θ from 15° to 90°, in order of rising 2θ:
2theta  d [Å]  I_rel
16.5  5.380  17
16.9  5.256  100
23.7  3.759  12
29.0  3.081  40
29.9  2.984  36
33.3  2.689  13
34.1  2.628  11
47.8  1.902  12
51.1  1.788  12
58.0  1.591  12

Structural model:
abc: 10.511 10.760 5.378
angles: 90.00 90.00 90.00
Positions (direct):
V 0.200 0.029 0.204
V 0.200 0.471 0.204
V 0.218 0.250 0.700
V 0.282 0.750 0.200
V 0.300 0.529 0.704
V 0.300 0.971 0.704
V 0.700 0.029 0.296
V 0.700 0.471 0.296
V 0.718 0.250 0.800
V 0.782 0.750 0.300
V 0.800 0.529 0.796
V 0.800 0.971 0.796
O 0.052 0.065 0.215
O 0.052 0.435 0.215
O 0.065 0.250 0.693
O 0.225 0.613 0.970
O 0.225 0.887 0.970
O 0.230 0.613 0.433
O 0.230 0.887 0.433
O 0.270 0.113 0.933
O 0.270 0.387 0.933
O 0.275 0.113 0.470
O 0.275 0.387 0.470
O 0.435 0.750 0.193
O 0.448 0.565 0.715
O 0.448 0.935 0.715
O 0.552 0.065 0.285
O 0.552 0.435 0.285
O 0.565 0.250 0.807
O 0.725 0.613 0.530
O 0.725 0.887 0.530
O 0.730 0.613 0.067
O 0.730 0.887 0.067
O 0.770 0.113 0.567
O 0.770 0.387 0.567
O 0.775 0.113 0.030
O 0.775 0.387 0.030
O 0.935 0.750 0.307
O 0.948 0.565 0.785
O 0.948 0.935 0.785

***

No. 5
# V4O7
Calculated powder X-ray diffraction pattern, Cu Kα (λ = 1.5418 Å). Input: the GGA+U geometry in the Materials Project.
Kinematic intensities with the Lorentz-polarization factor, no thermal factor.

Principal peaks in the range 2θ from 15° to 90°, in order of rising 2θ:
2theta  d [Å]  I_rel
21.7  4.100  23
26.9  3.314  100
29.6  3.015  54
29.8  2.994  53
30.8  2.899  53
36.4  2.467  21
45.4  1.996  31
47.5  1.915  27
54.8  1.676  24
60.1  1.539  20

Structural model:
abc: 6.435 6.718 6.735
angles: 86.63 68.53 87.68
Positions (direct):
V 0.197 0.397 0.316
V 0.203 0.637 0.857
V 0.211 0.861 0.438
V 0.214 0.100 0.891
V 0.786 0.900 0.109
V 0.789 0.139 0.562
V 0.797 0.363 0.143
V 0.803 0.603 0.684
O 0.106 0.852 0.083
O 0.122 0.148 0.456
O 0.144 0.365 0.052
O 0.150 0.566 0.569
O 0.267 0.887 0.682
O 0.466 0.864 0.224
O 0.484 0.423 0.224
O 0.516 0.577 0.776
O 0.534 0.136 0.776
O 0.733 0.113 0.318
O 0.850 0.434 0.431
O 0.856 0.635 0.948
O 0.878 0.852 0.544
O 0.894 0.148 0.917

***

What did the fifth record say?
# V4O7
Calculated powder X-ray diffraction pattern, Cu Kα (λ = 1.5418 Å). Input: the GGA+U geometry in the Materials Project.
Kinematic intensities with the Lorentz-polarization factor, no thermal factor.

Principal peaks in the range 2θ from 15° to 90°, in order of rising 2θ:
2theta  d [Å]  I_rel
21.7  4.100  23
26.9  3.314  100
29.6  3.015  54
29.8  2.994  53
30.8  2.899  53
36.4  2.467  21
45.4  1.996  31
47.5  1.915  27
54.8  1.676  24
60.1  1.539  20

Structural model:
abc: 6.435 6.718 6.735
angles: 86.63 68.53 87.68
Positions (direct):
V 0.197 0.397 0.316
V 0.203 0.637 0.857
V 0.211 0.861 0.438
V 0.214 0.100 0.891
V 0.786 0.900 0.109
V 0.789 0.139 0.562
V 0.797 0.363 0.143
V 0.803 0.603 0.684
O 0.106 0.852 0.083
O 0.122 0.148 0.456
O 0.144 0.365 0.052
O 0.150 0.566 0.569
O 0.267 0.887 0.682
O 0.466 0.864 0.224
O 0.484 0.423 0.224
O 0.516 0.577 0.776
O 0.534 0.136 0.776
O 0.733 0.113 0.318
O 0.850 0.434 0.431
O 0.856 0.635 0.948
O 0.878 0.852 0.544
O 0.894 0.148 0.917

***

Please write out number 4 again, unchanged.
# V3O7
Calculated powder X-ray diffraction pattern, Cu Kα (λ = 1.5418 Å). Input: the GGA+U geometry in the Materials Project.
Kinematic intensities with the Lorentz-polarization factor, no thermal factor.

Principal peaks in the range 2θ from 15° to 90°, in order of rising 2θ:
2theta  d [Å]  I_rel
16.5  5.380  17
16.9  5.256  100
23.7  3.759  12
29.0  3.081  40
29.9  2.984  36
33.3  2.689  13
34.1  2.628  11
47.8  1.902  12
51.1  1.788  12
58.0  1.591  12

Structural model:
abc: 10.511 10.760 5.378
angles: 90.00 90.00 90.00
Positions (direct):
V 0.200 0.029 0.204
V 0.200 0.471 0.204
V 0.218 0.250 0.700
V 0.282 0.750 0.200
V 0.300 0.529 0.704
V 0.300 0.971 0.704
V 0.700 0.029 0.296
V 0.700 0.471 0.296
V 0.718 0.250 0.800
V 0.782 0.750 0.300
V 0.800 0.529 0.796
V 0.800 0.971 0.796
O 0.052 0.065 0.215
O 0.052 0.435 0.215
O 0.065 0.250 0.693
O 0.225 0.613 0.970
O 0.225 0.887 0.970
O 0.230 0.613 0.433
O 0.230 0.887 0.433
O 0.270 0.113 0.933
O 0.270 0.387 0.933
O 0.275 0.113 0.470
O 0.275 0.387 0.470
O 0.435 0.750 0.193
O 0.448 0.565 0.715
O 0.448 0.935 0.715
O 0.552 0.065 0.285
O 0.552 0.435 0.285
O 0.565 0.250 0.807
O 0.725 0.613 0.530
O 0.725 0.887 0.530
O 0.730 0.613 0.067
O 0.730 0.887 0.067
O 0.770 0.113 0.567
O 0.770 0.387 0.567
O 0.775 0.113 0.030
O 0.775 0.387 0.030
O 0.935 0.750 0.307
O 0.948 0.565 0.785
O 0.948 0.935 0.785